No. 1
Theoretical PXRD pattern of Ac6Ge2AsS3 for Cu Kα, 1.54184 Å, from a PBE-relaxed structure.
Lines closer than 0.1° are merged.

Structure:
Unit cell a=9.9630 b=9.9630 c=8.8879 alpha=101.84 beta=101.84 gamma=26.14
Fractional positions:
Ac 0.0010 0.0010 0.2507
Ac 0.3328 0.3328 0.4181
Ac 0.3330 0.3330 0.9147
Ac 0.6670 0.6670 0.0853
Ac 0.6672 0.6672 0.5819
Ac 0.9990 0.9990 0.7493
Ge 0.1657 0.1657 0.3312
Ge 0.8343 0.8343 0.6688
As 0.5000 0.5000 0.0000
S 0.1655 0.1655 0.8339
S 0.5000 0.5000 0.5000
S 0.8345 0.8345 0.1661

Main lines, in order of rising 2θ (5 to 70 degrees two-theta):
2θ 24.26, I 51; 2θ 24.70, I 16; 2θ 28.21, I 100; 2θ 40.03, I 39; 2θ 40.61, I 38; 2θ 47.61, I 18; 2θ 49.69, I 21; 2θ 58.34, I 13; 2θ 65.64, I 19; 2θ 66.45, I 18

---

No. 2
Theoretical PXRD pattern of AcAsH for Cu Kα, 1.54184 Å, from a PBE-relaxed structure.
Lines closer than 0.1° are merged.

Structure:
Unit cell a=8.1180 b=7.4280 c=6.4417 alpha=71.24 beta=60.05 gamma=48.71
Fractional positions:
Ac 0.0823 0.6677 0.0823
Ac 0.3323 0.9177 0.3323
Ac 0.6677 0.0823 0.6677
Ac 0.9177 0.3323 0.9177
As 0.2130 0.5370 0.5370
As 0.4630 0.7870 0.7870
As 0.5370 0.2130 0.2130
As 0.7870 0.4630 0.4630
H 0.0114 0.0114 0.2386
H 0.2386 0.2386 0.0114
H 0.7614 0.7614 0.9886
H 0.9886 0.9886 0.7614

Main lines, in order of rising 2θ (5 to 70 degrees two-theta):
2θ 22.39, I 45; 2θ 26.76, I 82; 2θ 28.30, I 92; 2θ 28.69, I 100; 2θ 29.45, I 74; 2θ 35.80, I 46; 2θ 40.74, I 81; 2θ 46.26, I 31; 2θ 52.01, I 44; 2θ 69.19, I 25

---

No. 3
Theoretical PXRD pattern of AcNi2AsH2 for Cu Kα, 1.54184 Å, from a PBE-relaxed structure.
Lines closer than 0.1° are merged.

Structure:
Unit cell a=6.1371 b=5.0533 c=6.2809 alpha=90.00 beta=110.08 gamma=90.00
Fractional positions:
Ac 0.1781 0.2500 0.3130
Ac 0.8219 0.7500 0.6870
Ni 0.3290 0.0004 0.8026
Ni 0.3290 0.4996 0.8026
Ni 0.6710 0.9996 0.1974
Ni 0.6710 0.5004 0.1974
As 0.3259 0.7500 0.1222
As 0.6741 0.2500 0.8778
H 0.1406 0.2500 0.7305
H 0.2655 0.7500 0.6194
H 0.7345 0.2500 0.3806
H 0.8594 0.7500 0.2695

Main lines, in order of rising 2θ (5 to 70 degrees two-theta):
2θ 23.18, I 45; 2θ 23.41, I 33; 2θ 24.83, I 100; 2θ 25.03, I 35; 2θ 30.30, I 36; 2θ 35.23, I 41; 2θ 35.87, I 39; 2θ 39.67, I 37; 2θ 39.84, I 45; 2θ 43.96, I 57

---

No. 4
Theoretical PXRD pattern of AcAsHPd for Cu Kα, 1.54184 Å, from a PBE-relaxed structure.
Lines closer than 0.1° are merged.

Structure:
Unit cell a=4.5426 b=4.5426 c=4.1473 alpha=90.00 beta=90.00 gamma=120.00
Fractional positions:
Ac 0.0000 0.0000 0.0000
As 0.3333 0.6667 0.4821
H 0.6667 0.3333 0.9663
Pd 0.6667 0.3333 0.5200

Main lines, in order of rising 2θ (5 to 70 degrees two-theta):
2θ 22.60, I 19; 2θ 31.34, I 100; 2θ 39.68, I 45; 2θ 43.65, I 11; 2θ 46.15, I 3; 2θ 49.70, I 6; 2θ 51.41, I 25; 2θ 60.45, I 25; 2θ 62.46, I 3; 2θ 66.84, I 23

---

No. 5
Theoretical PXRD pattern of AcAsH2Ru for Cu Kα, 1.54184 Å, from a PBE-relaxed structure.
Lines closer than 0.1° are merged.

Structure:
Unit cell a=5.9633 b=5.9633 c=6.1976 alpha=90.00 beta=90.00 gamma=138.94
Fractional positions:
Ac 0.2022 0.7978 0.7500
Ac 0.7978 0.2022 0.2500
As 0.0745 0.9255 0.2500
As 0.9255 0.0745 0.7500
H 0.3492 0.6508 0.0570
H 0.3492 0.6508 0.4430
H 0.6508 0.3492 0.5570
H 0.6508 0.3492 0.9430
Ru 0.5000 0.5000 0.0000
Ru 0.5000 0.5000 0.5000

Main lines, in order of rising 2θ (5 to 70 degrees two-theta):
2θ 26.93, I 100; 2θ 32.19, I 71; 2θ 33.06, I 56; 2θ 35.25, I 65; 2θ 35.38, I 75; 2θ 36.99, I 83; 2θ 43.26, I 38; 2θ 55.27, I 52; 2θ 55.46, I 47; 2θ 56.99, I 33

---

No. 6
Theoretical PXRD pattern of AcHfAs2O8 for Cu Kα, 1.54184 Å, from a PBE-relaxed structure.
Lines closer than 0.1° are merged.

Structure:
Unit cell a=6.0861 b=6.0861 c=6.0861 alpha=106.60 beta=106.60 gamma=115.38
Fractional positions:
Ac 0.0000 0.0000 0.0000
Hf 0.2500 0.7500 0.5000
As 0.5000 0.5000 0.0000
As 0.7500 0.2500 0.5000
O 0.3267 0.1184 0.7917
O 0.3267 0.5350 0.2083
O 0.3970 0.0657 0.3313
O 0.4650 0.6733 0.7917
O 0.7344 0.0657 0.6687
O 0.8816 0.6733 0.2083
O 0.9343 0.2656 0.3313
O 0.9343 0.6030 0.6687

Main lines, in order of rising 2θ (5 to 70 degrees two-theta):
2θ 18.29, I 34; 2θ 24.47, I 100; 2θ 30.73, I 13; 2θ 32.57, I 79; 2θ 34.88, I 26; 2θ 48.47, I 63; 2θ 50.16, I 16; 2θ 56.58, I 21; 2θ 61.09, I 18; 2θ 62.56, I 14

---

No. 7
Theoretical PXRD pattern of AcHg2AsO6 for Cu Kα, 1.54184 Å, from a PBE-relaxed structure.
Lines closer than 0.1° are merged.

Structure:
Unit cell a=6.2938 b=6.2938 c=6.2938 alpha=53.33 beta=53.33 gamma=53.33
Fractional positions:
Ac 0.0000 0.0000 0.0000
Hg 0.2220 0.2220 0.2220
Hg 0.7780 0.7780 0.7780
As 0.5000 0.5000 0.5000
O 0.1814 0.7214 0.3930
O 0.2786 0.6070 0.8186
O 0.3930 0.1814 0.7214
O 0.6070 0.8186 0.2786
O 0.7214 0.3930 0.1814
O 0.8186 0.2786 0.6070

Main lines, in order of rising 2θ (5 to 70 degrees two-theta):
2θ 18.95, I 28; 2θ 28.67, I 100; 2θ 31.68, I 96; 2θ 33.24, I 41; 2θ 43.25, I 39; 2θ 46.58, I 19; 2θ 54.59, I 35; 2θ 56.43, I 24; 2θ 57.43, I 16; 2θ 61.20, I 19

---

No. 8
Theoretical PXRD pattern of Ac4As2I3 for Cu Kα, 1.54184 Å, from a PBE-relaxed structure.
Lines closer than 0.1° are merged.

Structure:
Unit cell a=4.5749 b=4.5749 c=19.7050 alpha=90.05 beta=90.05 gamma=60.00
Fractional positions:
Ac 0.0008 0.0008 0.2892
Ac 0.3337 0.3337 0.1205
Ac 0.6663 0.6663 0.8795
Ac 0.9992 0.9992 0.7108
As 0.3328 0.3328 0.7969
As 0.6672 0.6672 0.2031
I 0.0000 0.0000 0.0000
I 0.3344 0.3344 0.3990
I 0.6656 0.6656 0.6010

Main lines, in order of rising 2θ (5 to 70 degrees two-theta):
2θ 8.98, I 22; 2θ 22.90, I 15; 2θ 26.27, I 100; 2θ 28.92, I 51; 2θ 32.03, I 14; 2θ 39.26, I 29; 2θ 39.39, I 51; 2θ 47.97, I 20; 2θ 62.18, I 15; 2θ 63.74, I 17

---

Copy entry 5 word for word.
Theoretical PXRD pattern of AcAsH2Ru for Cu Kα, 1.54184 Å, from a PBE-relaxed structure.
Lines closer than 0.1° are merged.

Structure:
Unit cell a=5.9633 b=5.9633 c=6.1976 alpha=90.00 beta=90.00 gamma=138.94
Fractional positions:
Ac 0.2022 0.7978 0.7500
Ac 0.7978 0.2022 0.2500
As 0.0745 0.9255 0.2500
As 0.9255 0.0745 0.7500
H 0.3492 0.6508 0.0570
H 0.3492 0.6508 0.4430
H 0.6508 0.3492 0.5570
H 0.6508 0.3492 0.9430
Ru 0.5000 0.5000 0.0000
Ru 0.5000 0.5000 0.5000

Main lines, in order of rising 2θ (5 to 70 degrees two-theta):
2θ 26.93, I 100; 2θ 32.19, I 71; 2θ 33.06, I 56; 2θ 35.25, I 65; 2θ 35.38, I 75; 2θ 36.99, I 83; 2θ 43.26, I 38; 2θ 55.27, I 52; 2θ 55.46, I 47; 2θ 56.99, I 33